(1)
# PaZn13
Theoretical X-ray powder pattern, Cu Kα (λ = 1.5418 Å). Input: a DFT-relaxed cell (GGA-PBE, Alexandria).
Peak positions follow from Bragg's law for the DFT cell and can differ from measured ones.

Cell and atoms:
a b c (Å): 8.568 8.568 8.568
angles (deg): 60.00 60.00 60.00
Sites, in units of the cell vectors:
1 Pa 0.250 0.250 0.250
2 Pa 0.750 0.750 0.750
3 Zn 0.000 0.000 0.000
4 Zn 0.057 0.301 0.699
5 Zn 0.057 0.699 0.943
6 Zn 0.057 0.943 0.301
7 Zn 0.199 0.443 0.801
8 Zn 0.199 0.557 0.443
9 Zn 0.199 0.801 0.557
10 Zn 0.301 0.057 0.943
11 Zn 0.301 0.699 0.057
12 Zn 0.301 0.943 0.699
13 Zn 0.443 0.199 0.557
14 Zn 0.443 0.557 0.801
15 Zn 0.443 0.801 0.199
16 Zn 0.500 0.500 0.500
17 Zn 0.557 0.199 0.801
18 Zn 0.557 0.443 0.199
19 Zn 0.557 0.801 0.443
20 Zn 0.699 0.057 0.301
21 Zn 0.699 0.301 0.943
22 Zn 0.699 0.943 0.057
23 Zn 0.801 0.199 0.443
24 Zn 0.801 0.443 0.557
25 Zn 0.801 0.557 0.199
26 Zn 0.943 0.057 0.699
27 Zn 0.943 0.301 0.057
28 Zn 0.943 0.699 0.301

Principal peaks in the range 10° ≤ 2θ ≤ 80°, low angle first:
2θ 20.73, rel. 13
2θ 33.06, rel. 62
2θ 36.32, rel. 100
2θ 44.22, rel. 71
2θ 47.45, rel. 25
2θ 54.62, rel. 16
2θ 56.86, rel. 19
2θ 63.29, rel. 20
2θ 70.85, rel. 13
2θ 77.12, rel. 15

(2)
# Pa2Zn7
Theoretical X-ray powder pattern, Cu Kα (λ = 1.5418 Å). Input: a DFT-relaxed cell (GGA-PBE, Alexandria).
Peak positions follow from Bragg's law for the DFT cell and can differ from measured ones.

Cell and atoms:
a b c (Å): 13.328 13.328 13.328
angles (deg): 23.10 23.10 23.10
Sites, in units of the cell vectors:
1 Pa 0.052 0.052 0.052
2 Pa 0.154 0.154 0.154
3 Pa 0.846 0.846 0.846
4 Pa 0.948 0.948 0.948
5 Zn 0.000 0.500 0.500
6 Zn 0.105 0.611 0.611
7 Zn 0.279 0.279 0.279
8 Zn 0.389 0.389 0.389
9 Zn 0.389 0.389 0.895
10 Zn 0.389 0.895 0.389
11 Zn 0.500 0.000 0.500
12 Zn 0.500 0.500 0.000
13 Zn 0.500 0.500 0.500
14 Zn 0.611 0.105 0.611
15 Zn 0.611 0.611 0.105
16 Zn 0.611 0.611 0.611
17 Zn 0.721 0.721 0.721
18 Zn 0.895 0.389 0.389

Principal peaks in the range 10° ≤ 2θ ≤ 80°, low angle first:
2θ 19.34, rel. 14
2θ 30.02, rel. 41
2θ 31.86, rel. 20
2θ 33.59, rel. 47
2θ 39.05, rel. 30
2θ 39.70, rel. 100
2θ 41.80, rel. 17
2θ 57.87, rel. 14
2θ 64.18, rel. 24
2θ 70.60, rel. 17

(3)
# Pa5Zn
Theoretical X-ray powder pattern, Cu Kα (λ = 1.5418 Å). Input: a DFT-relaxed cell (GGA-PBE, Alexandria).
Peak positions follow from Bragg's law for the DFT cell and can differ from measured ones.

Cell and atoms:
a b c (Å): 3.165 3.165 16.513
angles (deg): 90.00 90.00 120.00
Sites, in units of the cell vectors:
1 Pa 0.000 0.000 0.000
2 Pa 0.000 0.000 0.345
3 Pa 0.000 0.000 0.655
4 Pa 0.333 0.667 0.172
5 Pa 0.333 0.667 0.828
6 Zn 0.333 0.667 0.500

Principal peaks in the range 10° ≤ 2θ ≤ 80°, low angle first:
2θ 32.53, rel. 28
2θ 32.67, rel. 24
2θ 34.47, rel. 5
2θ 36.62, rel. 100
2θ 46.77, rel. 16
2θ 55.74, rel. 6
2θ 58.30, rel. 18
2θ 60.74, rel. 20
2θ 68.39, rel. 24
2θ 70.85, rel. 15

(4)
# Pa2Zn17
Theoretical X-ray powder pattern, Cu Kα (λ = 1.5418 Å). Input: a DFT-relaxed cell (GGA-PBE, Alexandria).
Peak positions follow from Bragg's law for the DFT cell and can differ from measured ones.

Cell and atoms:
a b c (Å): 6.785 6.785 6.785
angles (deg): 82.74 82.74 82.74
Sites, in units of the cell vectors:
1 Pa 0.162 0.162 0.162
2 Pa 0.838 0.838 0.838
3 Zn 0.000 0.500 0.500
4 Zn 0.146 0.146 0.660
5 Zn 0.146 0.660 0.146
6 Zn 0.203 0.500 0.797
7 Zn 0.203 0.797 0.500
8 Zn 0.340 0.854 0.854
9 Zn 0.399 0.399 0.399
10 Zn 0.500 0.000 0.500
11 Zn 0.500 0.203 0.797
12 Zn 0.500 0.500 0.000
13 Zn 0.500 0.797 0.203
14 Zn 0.601 0.601 0.601
15 Zn 0.660 0.146 0.146
16 Zn 0.797 0.203 0.500
17 Zn 0.797 0.500 0.203
18 Zn 0.854 0.340 0.854
19 Zn 0.854 0.854 0.340

Principal peaks in the range 10° ≤ 2θ ≤ 80°, low angle first:
2θ 28.47, rel. 44
2θ 34.65, rel. 44
2θ 35.78, rel. 28
2θ 40.22, rel. 59
2θ 40.46, rel. 100
2θ 41.19, rel. 47
2θ 58.35, rel. 24
2θ 58.93, rel. 25
2θ 66.03, rel. 20
2θ 74.56, rel. 19

(5)
# PaZn5
Theoretical X-ray powder pattern, Cu Kα (λ = 1.5418 Å). Input: a DFT-relaxed cell (GGA-PBE, Alexandria).
Peak positions follow from Bragg's law for the DFT cell and can differ from measured ones.

Cell and atoms:
a b c (Å): 2.964 2.964 13.705
angles (deg): 90.00 90.00 120.00
Sites, in units of the cell vectors:
1 Pa 0.000 0.000 0.000
2 Zn 0.000 0.000 0.347
3 Zn 0.000 0.000 0.653
4 Zn 0.667 0.333 0.194
5 Zn 0.667 0.333 0.500
6 Zn 0.667 0.333 0.806

Principal peaks in the range 10° ≤ 2θ ≤ 80°, low angle first:
2θ 12.92, rel. 20
2θ 34.96, rel. 31
2θ 35.58, rel. 14
2θ 37.41, rel. 20
2θ 39.45, rel. 18
2θ 40.30, rel. 100
2θ 53.72, rel. 17
2θ 62.69, rel. 18
2θ 76.65, rel. 15
2θ 77.21, rel. 14

(6)
# Zr2PaZn9
Theoretical X-ray powder pattern, Cu Kα (λ = 1.5418 Å). Input: a DFT-relaxed cell (GGA-PBE, Alexandria).
Peak positions follow from Bragg's law for the DFT cell and can differ from measured ones.

Cell and atoms:
a b c (Å): 8.749 8.749 5.325
angles (deg): 90.00 90.00 90.00
Sites, in units of the cell vectors:
1 Zr 0.126 0.374 0.000
2 Zr 0.374 0.874 0.000
3 Zr 0.626 0.126 0.000
4 Zr 0.874 0.626 0.000
5 Pa 0.000 0.000 0.000
6 Pa 0.500 0.500 0.000
7 Zn 0.000 0.500 0.500
8 Zn 0.067 0.204 0.500
9 Zn 0.173 0.673 0.234
10 Zn 0.173 0.673 0.766
11 Zn 0.204 0.933 0.500
12 Zn 0.296 0.433 0.500
13 Zn 0.327 0.173 0.234
14 Zn 0.327 0.173 0.766
15 Zn 0.433 0.704 0.500
16 Zn 0.500 0.000 0.500
17 Zn 0.567 0.296 0.500
18 Zn 0.673 0.827 0.234
19 Zn 0.673 0.827 0.766
20 Zn 0.704 0.567 0.500
21 Zn 0.796 0.067 0.500
22 Zn 0.827 0.327 0.234
23 Zn 0.827 0.327 0.766
24 Zn 0.933 0.796 0.500

Principal peaks in the range 10° ≤ 2θ ≤ 80°, low angle first:
2θ 32.36, rel. 25
2θ 33.50, rel. 27
2θ 36.60, rel. 100
2θ 39.63, rel. 31
2θ 40.87, rel. 23
2θ 41.00, rel. 50
2θ 42.61, rel. 24
2θ 46.41, rel. 18
2θ 62.13, rel. 17
2θ 64.61, rel. 16